Diffraction record for Pr3Nd8In. The PXRD pattern is calculated, not measured: it uses a crystal structure in Alexandria, relaxed with GGA-PBE and Cu Kα X-rays.
Peak positions follow from Bragg's law for the DFT cell and can differ from measured ones.

Top 10 peaks for 5 to 70 degrees two-theta, low angle first:
- 2θ 29.4, intensity 12, hkl 1 1 3
- 2θ 29.7, intensity 26, hkl 0 1 3
- 2θ 30.8, intensity 55, hkl 1 2 -1
- 2θ 31.0, intensity 100, hkl 2 1 1
- 2θ 43.5, intensity 18, hkl 2 0 -2
- 2θ 45.0, intensity 10, hkl 0 4 0
- 2θ 53.7, intensity 8, hkl -1 3 4
- 2θ 55.0, intensity 11, hkl 3 3 0
- 2θ 55.2, intensity 19, hkl 3 4 3
- 2θ 55.7, intensity 11, hkl 2 5 1

Structure:
Unit cell a=5.763 b=9.038 c=9.468 alpha=66.18 beta=72.31 gamma=71.43
Space group P1 (No. 1)
Symmetry-distinct sites (fractional):
Pr  0.000  0.000  0.000 (multiplicity 1)
Pr  0.154  0.539  0.152 (multiplicity 1)
Pr  0.338  0.038  0.287 (multiplicity 1)
Nd  0.063  0.292  0.581 (multiplicity 1)
Nd  0.256  0.778  0.708 (multiplicity 1)
Nd  0.419  0.298  0.863 (multiplicity 1)
Nd  0.521  0.537  0.420 (multiplicity 1)
Nd  0.612  0.785  0.991 (multiplicity 1)
Nd  0.674  0.077  0.572 (multiplicity 1)
Nd  0.768  0.313  0.150 (multiplicity 1)
Nd  0.906  0.763  0.424 (multiplicity 1)
In  0.837  0.538  0.786 (multiplicity 1)